(1)
For Sr2Hg3, a crystal structure in Alexandria, relaxed with GGA-PBE gives the theoretical powder XRD pattern in this record (Cu Kα X-rays).
Kinematic intensities with the Lorentz-polarization factor, no thermal factor.

The 10 most intense peaks (5° ≤ 2θ ≤ 70°), low angle first:
| d (Å) | 2theta | I (rel.) |
| --- | --- | --- |
| 4.179 | 21.26 | 75 |
| 3.069 | 29.09 | 100 |
| 3.032 | 29.46 | 36 |
| 2.600 | 34.50 | 85 |
| 2.488 | 36.09 | 46 |
| 2.334 | 38.58 | 45 |
| 2.139 | 42.26 | 21 |
| 2.111 | 42.83 | 29 |
| 1.639 | 56.12 | 45 |
| 1.610 | 57.22 | 25 |

Atomic structure:
Cell lengths 15.390, 15.390, 4.977 Å; angles 90.00, 90.00, 164.23 degrees
Sites, in units of the cell vectors:
Sr 0.072 0.928 0.750
Sr 0.206 0.794 0.250
Sr 0.794 0.206 0.750
Sr 0.928 0.072 0.250
Hg 0.322 0.678 0.250
Hg 0.380 0.620 0.750
Hg 0.475 0.525 0.750
Hg 0.525 0.475 0.250
Hg 0.620 0.380 0.250
Hg 0.678 0.322 0.750

(2)
For SrHg5, a crystal structure in Alexandria, relaxed with GGA-PBE gives the theoretical powder XRD pattern in this record (Cu Kα X-rays).
Kinematic intensities with the Lorentz-polarization factor, no thermal factor.

The 10 most intense peaks (5° ≤ 2θ ≤ 70°), low angle first:
| d (Å) | 2theta | I (rel.) |
| --- | --- | --- |
| 2.772 | 32.29 | 100 |
| 2.540 | 35.33 | 20 |
| 2.386 | 37.70 | 18 |
| 2.294 | 39.27 | 15 |
| 1.739 | 52.62 | 14 |
| 1.703 | 53.84 | 12 |
| 1.508 | 61.51 | 16 |
| 1.441 | 64.67 | 14 |
| 1.400 | 66.82 | 12 |
| 1.386 | 67.59 | 12 |

Atomic structure:
Cell lengths 4.773, 13.765, 5.081 Å; angles 90.00, 90.00, 90.00 degrees
Sites, in units of the cell vectors:
Sr 0.000 0.000 0.000
Sr 0.500 0.500 0.000
Hg 0.000 0.168 0.500
Hg 0.000 0.326 0.000
Hg 0.000 0.500 0.500
Hg 0.000 0.674 0.000
Hg 0.000 0.832 0.500
Hg 0.500 0.000 0.500
Hg 0.500 0.174 0.000
Hg 0.500 0.332 0.500
Hg 0.500 0.668 0.500
Hg 0.500 0.826 0.000

(3)
For Sr2Hg, a crystal structure in Alexandria, relaxed with GGA-PBE gives the theoretical powder XRD pattern in this record (Cu Kα X-rays).
Kinematic intensities with the Lorentz-polarization factor, no thermal factor.

The 10 most intense peaks (5° ≤ 2θ ≤ 70°), low angle first:
| d (Å) | 2theta | I (rel.) |
| --- | --- | --- |
| 4.479 | 19.82 | 44 |
| 4.260 | 20.85 | 35 |
| 3.365 | 26.49 | 55 |
| 3.087 | 28.93 | 100 |
| 2.586 | 34.69 | 53 |
| 2.549 | 35.21 | 31 |
| 2.542 | 35.32 | 62 |
| 1.815 | 50.27 | 38 |
| 1.681 | 54.61 | 48 |
| 1.410 | 66.30 | 26 |

Atomic structure:
Cell lengths 8.957, 8.957, 5.098 Å; angles 90.00, 90.00, 120.00 degrees
Sites, in units of the cell vectors:
Sr 0.000 0.257 0.000
Sr 0.000 0.595 0.500
Sr 0.257 0.000 0.000
Sr 0.405 0.405 0.500
Sr 0.595 0.000 0.500
Sr 0.743 0.743 0.000
Hg 0.000 0.000 0.500
Hg 0.333 0.667 0.000
Hg 0.667 0.333 0.000

(4)
For Sr2Hg, a crystal structure in Alexandria, relaxed with GGA-PBE gives the theoretical powder XRD pattern in this record (Cu Kα X-rays).
Kinematic intensities with the Lorentz-polarization factor, no thermal factor.

The 10 most intense peaks (5° ≤ 2θ ≤ 70°), low angle first:
| d (Å) | 2theta | I (rel.) |
| --- | --- | --- |
| 4.658 | 19.05 | 73 |
| 4.034 | 22.04 | 26 |
| 3.608 | 24.68 | 41 |
| 3.293 | 27.07 | 21 |
| 2.852 | 31.36 | 59 |
| 2.432 | 36.96 | 100 |
| 2.156 | 41.90 | 19 |
| 1.804 | 50.60 | 39 |
| 1.553 | 59.54 | 31 |
| 1.364 | 68.85 | 23 |

Atomic structure:
Cell lengths 8.067, 8.067, 8.067 Å; angles 90.00, 90.00, 90.00 degrees
Sites, in units of the cell vectors:
Sr 0.154 0.154 0.154
Sr 0.154 0.346 0.654
Sr 0.346 0.654 0.154
Sr 0.346 0.846 0.654
Sr 0.654 0.154 0.346
Sr 0.654 0.346 0.846
Sr 0.846 0.654 0.346
Sr 0.846 0.846 0.846
Hg 0.000 0.000 0.500
Hg 0.000 0.500 0.000
Hg 0.500 0.000 0.000
Hg 0.500 0.500 0.500

(5)
For SrTb2Hg7, a crystal structure in Alexandria, relaxed with GGA-PBE gives the theoretical powder XRD pattern in this record (Cu Kα X-rays).
Kinematic intensities with the Lorentz-polarization factor, no thermal factor.

The 10 most intense peaks (5° ≤ 2θ ≤ 70°), low angle first:
| d (Å) | 2theta | I (rel.) |
| --- | --- | --- |
| 12.156 | 7.27 | 18 |
| 2.992 | 29.86 | 46 |
| 2.562 | 35.02 | 100 |
| 2.508 | 35.81 | 68 |
| 1.946 | 46.67 | 14 |
| 1.792 | 50.96 | 24 |
| 1.550 | 59.66 | 13 |
| 1.479 | 62.81 | 19 |
| 1.469 | 63.33 | 26 |
| 1.438 | 64.86 | 15 |

Atomic structure:
Cell lengths 5.125, 5.125, 12.156 Å; angles 90.00, 90.00, 120.00 degrees
Sites, in units of the cell vectors:
Sr 0.000 0.000 0.000
Tb 0.333 0.667 0.649
Tb 0.667 0.333 0.450
Hg 0.000 0.000 0.309
Hg 0.000 0.000 0.577
Hg 0.333 0.667 0.138
Hg 0.333 0.667 0.389
Hg 0.333 0.667 0.889
Hg 0.667 0.333 0.179
Hg 0.667 0.333 0.765

(6)
For Sr2TiHg2, a crystal structure in Alexandria, relaxed with GGA-PBE gives the theoretical powder XRD pattern in this record (Cu Kα X-rays).
Kinematic intensities with the Lorentz-polarization factor, no thermal factor.

The 10 most intense peaks (5° ≤ 2θ ≤ 70°), low angle first:
| d (Å) | 2theta | I (rel.) |
| --- | --- | --- |
| 5.555 | 15.96 | 14 |
| 5.004 | 17.72 | 18 |
| 3.513 | 25.35 | 13 |
| 2.875 | 31.10 | 100 |
| 2.502 | 35.89 | 18 |
| 2.484 | 36.16 | 22 |
| 1.781 | 51.31 | 10 |
| 1.763 | 51.87 | 16 |
| 1.507 | 61.55 | 14 |
| 1.400 | 66.80 | 15 |

Atomic structure:
Cell lengths 7.856, 7.856, 5.004 Å; angles 90.00, 90.00, 90.00 degrees
Sites, in units of the cell vectors:
Sr 0.171 0.329 0.000
Sr 0.329 0.829 0.000
Sr 0.671 0.171 0.000
Sr 0.829 0.671 0.000
Ti 0.000 0.000 0.500
Ti 0.500 0.500 0.500
Hg 0.142 0.642 0.500
Hg 0.358 0.142 0.500
Hg 0.642 0.858 0.500
Hg 0.858 0.358 0.500

(7)
For Sr2Tl3Hg5, a crystal structure in Alexandria, relaxed with GGA-PBE gives the theoretical powder XRD pattern in this record (Cu Kα X-rays).
Kinematic intensities with the Lorentz-polarization factor, no thermal factor.

The 10 most intense peaks (5° ≤ 2θ ≤ 70°), low angle first:
| d (Å) | 2theta | I (rel.) |
| --- | --- | --- |
| 6.588 | 13.44 | 40 |
| 4.532 | 19.59 | 59 |
| 3.249 | 27.46 | 45 |
| 3.054 | 29.24 | 76 |
| 3.008 | 29.70 | 72 |
| 2.413 | 37.26 | 100 |
| 2.381 | 37.78 | 58 |
| 2.359 | 38.14 | 55 |
| 2.313 | 38.94 | 48 |
| 1.360 | 69.04 | 25 |

Atomic structure:
Cell lengths 10.050, 10.050, 10.050 Å; angles 98.08, 95.43, 139.89 degrees
Sites, in units of the cell vectors:
Sr 0.124 0.245 0.370
Sr 0.376 0.745 0.121
Sr 0.624 0.255 0.879
Sr 0.876 0.755 0.630
Tl 0.130 0.866 0.996
Tl 0.250 0.750 0.500
Tl 0.370 0.366 0.737
Tl 0.630 0.634 0.263
Tl 0.750 0.250 0.500
Tl 0.870 0.134 0.004
Hg 0.009 0.750 0.259
Hg 0.126 0.646 0.772
Hg 0.250 0.250 0.000
Hg 0.374 0.146 0.520
Hg 0.491 0.750 0.741
Hg 0.509 0.250 0.259
Hg 0.626 0.854 0.480
Hg 0.750 0.750 0.000
Hg 0.874 0.354 0.228
Hg 0.991 0.250 0.741

(8)
For SrTlHg2, a crystal structure in Alexandria, relaxed with GGA-PBE gives the theoretical powder XRD pattern in this record (Cu Kα X-rays).
Kinematic intensities with the Lorentz-polarization factor, no thermal factor.

The 10 most intense peaks (5° ≤ 2θ ≤ 70°), low angle first:
| d (Å) | 2theta | I (rel.) |
| --- | --- | --- |
| 8.461 | 10.46 | 27 |
| 3.642 | 24.44 | 33 |
| 3.535 | 25.19 | 40 |
| 3.184 | 28.03 | 24 |
| 2.980 | 29.99 | 100 |
| 2.583 | 34.73 | 84 |
| 2.403 | 37.42 | 23 |
| 2.125 | 42.54 | 65 |
| 1.641 | 56.04 | 22 |
| 1.499 | 61.89 | 40 |

Atomic structure:
Cell lengths 4.250, 4.250, 25.383 Å; angles 90.00, 90.00, 120.00 degrees
Sites, in units of the cell vectors:
Sr 0.000 0.000 0.000
Sr 0.333 0.667 0.667
Sr 0.667 0.333 0.333
Tl 0.000 0.000 0.167
Tl 0.333 0.667 0.834
Tl 0.667 0.333 0.501
Hg 0.000 0.000 0.421
Hg 0.000 0.000 0.578
Hg 0.333 0.667 0.088
Hg 0.333 0.667 0.245
Hg 0.667 0.333 0.755
Hg 0.667 0.333 0.911